[1]
Simulated powder X-ray diffraction pattern
Compound: Tm4Mg5Tl2
Radiation: Cu Kα X-rays
Structure: a GGA-PBE-relaxed structure
Lines closer than 0.1° are merged.

Most intense lines, 2θ = 5–70°, low angle first:
| two_theta | I_rel |
| --- | --- |
| 8.5 | 66 |
| 11.1 | 100 |
| 32.6 | 35 |
| 33.4 | 47 |
| 34.1 | 44 |
| 34.3 | 58 |
| 35.3 | 89 |
| 54.2 | 43 |

Atomic structure:
abc: 8.0231 3.4601 10.4836
angles: 90.00 94.08 90.00
Fractional coordinates of all 11 atoms:
Tm (0.1584, 0.0000, 0.3907)
Tm (0.2800, 0.0000, 0.9454)
Tm (0.7200, 0.0000, 0.0546)
Tm (0.8416, 0.0000, 0.6093)
Mg (0.1987, 0.5000, 0.6635)
Mg (0.4371, 0.5000, 0.2074)
Mg (0.5000, 0.5000, 0.5000)
Mg (0.5629, 0.5000, 0.7926)
Mg (0.8013, 0.5000, 0.3365)
Tl (0.0619, 0.5000, 0.1427)
Tl (0.9381, 0.5000, 0.8573)

[2]
Simulated powder X-ray diffraction pattern
Compound: TmMg3Tl4
Radiation: Cu Kα X-rays
Structure: a GGA-PBE-relaxed structure
Lines closer than 0.1° are merged.

Most intense lines, 2θ = 5–70°, low angle first:
| two_theta | I_rel |
| --- | --- |
| 24.3 | 34 |
| 34.3 | 100 |
| 34.6 | 25 |
| 34.7 | 25 |
| 49.8 | 18 |
| 61.3 | 19 |
| 61.8 | 19 |
| 61.9 | 19 |

Atomic structure:
abc: 5.1757 5.1917 7.4463
angles: 90.00 90.00 90.00
Fractional coordinates of all 8 atoms:
Tm (0.0000, 0.0000, 0.0000)
Mg (0.0000, 0.0000, 0.5000)
Mg (0.5000, 0.5000, 0.0000)
Mg (0.5000, 0.5000, 0.5000)
Tl (0.0000, 0.5000, 0.2589)
Tl (0.0000, 0.5000, 0.7411)
Tl (0.5000, 0.0000, 0.2595)
Tl (0.5000, 0.0000, 0.7405)

[3]
Simulated powder X-ray diffraction pattern
Compound: Tm4MgTl7
Radiation: Cu Kα X-rays
Structure: a GGA-PBE-relaxed structure
Lines closer than 0.1° are merged.

Most intense lines, 2θ = 5–70°, low angle first:
| two_theta | I_rel |
| --- | --- |
| 18.3 | 22 |
| 23.5 | 30 |
| 33.3 | 52 |
| 33.5 | 64 |
| 34.8 | 93 |
| 35.2 | 100 |
| 48.0 | 39 |
| 61.0 | 35 |

Atomic structure:
abc: 7.9550 7.9550 11.3465
angles: 126.95 126.95 39.32
Fractional coordinates of all 12 atoms:
Tm (0.0910, 0.0910, 0.3106)
Tm (0.2019, 0.2019, 0.8496)
Tm (0.7981, 0.7981, 0.1504)
Tm (0.9090, 0.9090, 0.6894)
Mg (0.5000, 0.5000, 0.5000)
Tl (0.0000, 0.0000, 0.5000)
Tl (0.1417, 0.1417, 0.0816)
Tl (0.2900, 0.2900, 0.6660)
Tl (0.4370, 0.4370, 0.1848)
Tl (0.5630, 0.5630, 0.8152)
Tl (0.7100, 0.7100, 0.3340)
Tl (0.8583, 0.8583, 0.9184)